K4LaPu3O12: calculated XRD peak list (CuKα), based on DFT lattice parameters and positions (PBE).
Peak positions follow from Bragg's law for the DFT cell and can differ from measured ones.

Crystal structure
```
data_K4LaPu3O12
_chemical_formula_sum 'K8 La2 Pu6 O24'
_cell_length_a 8.684
_cell_length_b 8.684
_cell_length_c 8.684
_cell_angle_alpha 90.00
_cell_angle_beta 90.00
_cell_angle_gamma 90.00
_symmetry_space_group_name_H-M 'I m -3 m'
_symmetry_Int_Tables_number 229
_symmetry_space_group_name_Hall '-I 4 2 3'
loop_
_atom_site_label
_atom_site_fract_x
_atom_site_fract_y
_atom_site_fract_z
_atom_site_occupancy
K1 0.250 0.250 0.250 1
La1 0.000 0.000 0.000 1
Pu1 0.000 0.000 0.500 1
O1 0.000 0.000 0.272 1
O2 0.000 0.250 0.500 1
```

The 10 most intense peaks (15 to 90 degrees two-theta), in order of falling intensity:
- 29.1°, intensity 100
- 20.5°, intensity 73
- 51.6°, intensity 41
- 46.8°, intensity 35
- 41.6°, intensity 31
- 83.3°, intensity 22
- 60.3°, intensity 19
- 68.3°, intensity 19
- 64.4°, intensity 17
- 35.8°, intensity 10

---

CsSbSe2: calculated XRD peak list (CuKα), based on DFT lattice parameters and positions (PBE).
Peak positions follow from Bragg's law for the DFT cell and can differ from measured ones.

Crystal structure
```
data_CsSbSe2
_chemical_formula_sum 'Cs2 Sb2 Se4'
_cell_length_a 5.688
_cell_length_b 5.709
_cell_length_c 10.121
_cell_angle_alpha 87.26
_cell_angle_beta 89.98
_cell_angle_gamma 89.99
_symmetry_space_group_name_H-M 'P 1'
_symmetry_Int_Tables_number 1
loop_
_symmetry_equiv_pos_as_xyz
'x,y,z'
loop_
_atom_site_label
_atom_site_fract_x
_atom_site_fract_y
_atom_site_fract_z
_atom_site_occupancy
Cs1 0.000 0.000 0.000 1
Cs2 0.500 0.461 0.367 1
Sb1 0.481 0.508 0.759 1
Sb2 0.981 0.952 0.608 1
Se1 0.454 0.972 0.682 1
Se2 0.497 0.508 0.008 1
Se3 0.954 0.487 0.685 1
Se4 0.997 0.952 0.360 1
```

The 10 most intense peaks (15 to 90 degrees two-theta), in order of falling intensity:
- 31.4°, intensity 100
- 22.1°, intensity 96
- 26.4°, intensity 44
- 45.0°, intensity 39
- 41.5°, intensity 36
- 23.5°, intensity 34
- 49.8°, intensity 19
- 51.2°, intensity 18
- 28.8°, intensity 17
- 27.9°, intensity 16

---

ZnFe6H3: calculated XRD peak list (CuKα), based on DFT lattice parameters and positions (PBE).
Peak positions follow from Bragg's law for the DFT cell and can differ from measured ones.

Crystal structure
```
data_ZnFe6H3
_chemical_formula_sum 'Zn1 Fe6 H3'
_cell_length_a 5.003
_cell_length_b 5.004
_cell_length_c 5.210
_cell_angle_alpha 61.37
_cell_angle_beta 61.33
_cell_angle_gamma 60.04
_symmetry_space_group_name_H-M 'P 1'
_symmetry_Int_Tables_number 1
loop_
_symmetry_equiv_pos_as_xyz
'x,y,z'
loop_
_atom_site_label
_atom_site_fract_x
_atom_site_fract_y
_atom_site_fract_z
_atom_site_occupancy
Zn1 0.000 0.000 0.000 1
Fe1 0.002 0.480 0.989 1
Fe2 0.139 0.871 0.490 1
Fe3 0.479 0.529 0.989 1
Fe4 0.499 0.137 0.490 1
Fe5 0.529 0.003 0.988 1
Fe6 0.874 0.499 0.490 1
H1 0.244 0.243 0.267 1
H2 0.429 0.428 0.712 1
H3 0.759 0.760 0.722 1
```

The 10 most intense peaks (15 to 90 degrees two-theta), in order of falling intensity:
- 41.7°, intensity 100
- 44.0°, intensity 49
- 50.6°, intensity 32
- 42.3°, intensity 25
- 35.9°, intensity 18
- 79.8°, intensity 17
- 55.1°, intensity 11
- 76.0°, intensity 10
- 72.7°, intensity 10
- 56.1°, intensity 9

---

Please write out number 1 again, unchanged.
K4LaPu3O12: calculated XRD peak list (CuKα), based on DFT lattice parameters and positions (PBE).
Peak positions follow from Bragg's law for the DFT cell and can differ from measured ones.

Crystal structure
```
data_K4LaPu3O12
_chemical_formula_sum 'K8 La2 Pu6 O24'
_cell_length_a 8.684
_cell_length_b 8.684
_cell_length_c 8.684
_cell_angle_alpha 90.00
_cell_angle_beta 90.00
_cell_angle_gamma 90.00
_symmetry_space_group_name_H-M 'I m -3 m'
_symmetry_Int_Tables_number 229
_symmetry_space_group_name_Hall '-I 4 2 3'
loop_
_atom_site_label
_atom_site_fract_x
_atom_site_fract_y
_atom_site_fract_z
_atom_site_occupancy
K1 0.250 0.250 0.250 1
La1 0.000 0.000 0.000 1
Pu1 0.000 0.000 0.500 1
O1 0.000 0.000 0.272 1
O2 0.000 0.250 0.500 1
```

The 10 most intense peaks (15 to 90 degrees two-theta), in order of falling intensity:
- 29.1°, intensity 100
- 20.5°, intensity 73
- 51.6°, intensity 41
- 46.8°, intensity 35
- 41.6°, intensity 31
- 83.3°, intensity 22
- 60.3°, intensity 19
- 68.3°, intensity 19
- 64.4°, intensity 17
- 35.8°, intensity 10